# 1
Structure and calculated X-ray powder pattern of TbAlAu11 (a crystal structure in Alexandria, relaxed with GGA-PBE; Cu Ka).

Most intense lines, 10° ≤ 2θ ≤ 90°, low angle first:
| two_theta | intensity | index |
| --- | --- | --- |
| 32.4 | 31 | 2 0 -1 |
| 33.0 | 45 | 1 3 -2 |
| 37.2 | 45 | 2 2 0 |
| 37.3 | 54 | 1 1 2 |
| 37.7 | 53 | 1 5 0 |
| 37.9 | 100 | 0 4 2 |
| 38.1 | 35 | 2 2 -2 |
| 42.3 | 58 | 2 4 -1 |
| 42.5 | 28 | 0 6 1 |
| 43.2 | 27 | 2 0 -3 |

Crystal structure
```
data_TbAlAu11
_cell_length_a 5.535
_cell_length_b 13.461
_cell_length_c 7.163
_cell_angle_alpha 90.00
_cell_angle_beta 110.66
_cell_angle_gamma 90.00
_symmetry_space_group_name_H-M 'C 1 2/m 1'
_symmetry_Int_Tables_number 12
_symmetry_space_group_name_Hall '-C 2y'
loop_
_atom_site_label
_atom_site_fract_x
_atom_site_fract_y
_atom_site_fract_z
Tb1 0.000 0.000 0.000
Al1 0.000 0.500 0.500
Au1 0.000 0.000 0.500
Au2 0.084 0.396 0.217
Au3 0.170 0.168 0.348
Au4 0.250 0.250 0.000
```



# 2
Structure and calculated X-ray powder pattern of NaErPu4N8 (a crystal structure in Alexandria, relaxed with GGA-PBE; Cu Ka).

Most intense lines, 10° ≤ 2θ ≤ 90°, low angle first:
| two_theta | intensity | index |
| --- | --- | --- |
| 17.0 | 38 | 0 0 3 |
| 27.3 | 49 | 1 0 4 |
| 30.6 | 100 | 0 2 1 |
| 31.2 | 45 | 1 1 3 |
| 32.2 | 44 | 2 0 2 |
| 32.3 | 35 | 0 1 5 |
| 46.6 | 23 | 2 1 4 |
| 49.9 | 22 | 1 2 5 |
| 53.3 | 34 | 2 2 0 |
| 56.3 | 24 | 2 0 8 |

Crystal structure
```
data_NaErPu4N8
_cell_length_a 6.8709
_cell_length_b 6.8709
_cell_length_c 15.6516
_cell_angle_alpha 90.00
_cell_angle_beta 90.00
_cell_angle_gamma 120.00
_symmetry_space_group_name_H-M 'R 3 m'
_symmetry_Int_Tables_number 160
_symmetry_space_group_name_Hall 'R 3 -2"'
loop_
_atom_site_label
_atom_site_fract_x
_atom_site_fract_y
_atom_site_fract_z
Na1 0.0000 0.0000 0.0000
Er1 0.0000 0.0000 0.3800
Pu1 0.0000 0.0000 0.6054
Pu2 0.0008 0.5004 0.4974
N1 0.0000 0.0000 0.2344
N2 0.0000 0.0000 0.7559
N3 0.0198 0.5099 0.7682
N4 0.1802 0.3605 0.5673
```